Entry 1:
For K6Na12Cd, a PBE-relaxed structure gives the simulated powder XRD pattern in this record (Cu Kα).
Kinematic intensities with the Lorentz-polarization factor, no thermal factor.

Structural model:
a = 9.6533 Å, b = 9.6533 Å, c = 9.6533 Å
α = 96.22°, β = 96.22°, γ = 96.22°
Fractional positions:
K  0.2039  0.7510  0.3793
K  0.2490  0.6207  0.7961
K  0.3793  0.2039  0.7510
K  0.6207  0.7961  0.2490
K  0.7510  0.3793  0.2039
K  0.7961  0.2490  0.6207
Na  0.0096  0.9560  0.7218
Na  0.0440  0.2782  0.9904
Na  0.1572  0.3645  0.4371
Na  0.2782  0.9904  0.0440
Na  0.3645  0.4371  0.1572
Na  0.4371  0.1572  0.3645
Na  0.5629  0.8428  0.6355
Na  0.6355  0.5629  0.8428
Na  0.7218  0.0096  0.9560
Na  0.8428  0.6355  0.5629
Na  0.9560  0.7218  0.0096
Na  0.9904  0.0440  0.2782
Cd  0.5000  0.5000  0.5000

Principal peaks in the range 10° ≤ 2θ ≤ 90°, sorted by position:
2θ/deg  I/Imax
12.32  25
13.92  31
21.85  23
26.51  87
28.09  53
28.53  100
29.33  19
30.76  41
31.06  32
45.51  22

---

Entry 2:
For KNa3Cd, a PBE-relaxed structure gives the simulated powder XRD pattern in this record (Cu Kα).
Kinematic intensities with the Lorentz-polarization factor, no thermal factor.

Structural model:
a = 5.0438 Å, b = 8.5483 Å, c = 9.5844 Å
α = 74.06°, β = 89.98°, γ = 89.99°
Fractional positions:
K  0.0000  0.0000  0.0000
K  0.5000  0.3648  0.6542
Na  0.0009  0.5316  0.9266
Na  0.0008  0.5389  0.3010
Na  0.0017  0.0846  0.4691
Na  0.5008  0.8262  0.3535
Na  0.5009  0.8332  0.7275
Na  0.5016  0.2803  0.1861
Cd  0.0000  0.6923  0.5770
Cd  0.4998  0.6725  0.0774

Principal peaks in the range 10° ≤ 2θ ≤ 90°, sorted by position:
2θ/deg  I/Imax
10.76  100
19.29  63
20.07  27
21.52  31
24.07  38
26.22  28
27.61  43
31.61  34
33.32  26
35.60  27

---

Entry 3:
For K2Na5Cd12, a PBE-relaxed structure gives the simulated powder XRD pattern in this record (Cu Kα).
Kinematic intensities with the Lorentz-polarization factor, no thermal factor.

Structural model:
a = 8.1176 Å, b = 8.1176 Å, c = 8.1176 Å
α = 82.22°, β = 82.22°, γ = 82.22°
Fractional positions:
K  0.1564  0.1564  0.1564
K  0.8436  0.8436  0.8436
Na  0.0000  0.5000  0.5000
Na  0.4033  0.4033  0.4033
Na  0.5000  0.0000  0.5000
Na  0.5000  0.5000  0.0000
Na  0.5967  0.5967  0.5967
Cd  0.1380  0.1380  0.6593
Cd  0.1380  0.6593  0.1380
Cd  0.2023  0.5000  0.7977
Cd  0.2023  0.7977  0.5000
Cd  0.3407  0.8620  0.8620
Cd  0.5000  0.2023  0.7977
Cd  0.5000  0.7977  0.2023
Cd  0.6593  0.1380  0.1380
Cd  0.7977  0.2023  0.5000
Cd  0.7977  0.5000  0.2023
Cd  0.8620  0.3407  0.8620
Cd  0.8620  0.8620  0.3407

Principal peaks in the range 10° ≤ 2θ ≤ 90°, sorted by position:
2θ/deg  I/Imax
16.61  56
28.98  16
29.70  43
33.65  100
33.94  27
37.77  63
38.01  16
39.40  18
43.03  12
60.05  12

---

Entry 4:
For K8Na2Cd, a PBE-relaxed structure gives the simulated powder XRD pattern in this record (Cu Kα).
Kinematic intensities with the Lorentz-polarization factor, no thermal factor.

Structural model:
a = 11.7765 Å, b = 11.7765 Å, c = 9.0345 Å
α = 108.21°, β = 108.21°, γ = 33.16°
Fractional positions:
K  0.0168  0.0168  0.2842
K  0.1967  0.1967  0.7739
K  0.3467  0.3467  0.5508
K  0.4050  0.4050  0.0700
K  0.5950  0.5950  0.9300
K  0.6533  0.6533  0.4492
K  0.8033  0.8033  0.2261
K  0.9832  0.9832  0.7158
Na  0.1815  0.1815  0.2023
Na  0.8185  0.8185  0.7977
Cd  0.5000  0.5000  0.5000

Principal peaks in the range 10° ≤ 2θ ≤ 90°, sorted by position:
2θ/deg  I/Imax
10.36  32
13.81  29
18.11  27
23.76  26
23.88  48
24.02  56
26.18  100
26.52  78
27.65  57
46.64  32

---

Entry 5:
For KNa12Cd3, a PBE-relaxed structure gives the simulated powder XRD pattern in this record (Cu Kα).
Kinematic intensities with the Lorentz-polarization factor, no thermal factor.

Structural model:
a = 5.0984 Å, b = 5.0984 Å, c = 20.4979 Å
α = 90.00°, β = 90.00°, γ = 90.00°
Fractional positions:
K  0.0000  0.0000  0.0000
Na  0.0000  0.5000  0.1534
Na  0.0000  0.5000  0.3832
Na  0.0000  0.5000  0.6168
Na  0.0000  0.5000  0.8466
Na  0.5000  0.0000  0.1534
Na  0.5000  0.0000  0.3832
Na  0.5000  0.0000  0.6168
Na  0.5000  0.0000  0.8466
Na  0.5000  0.5000  0.0000
Na  0.5000  0.5000  0.2678
Na  0.5000  0.5000  0.5000
Na  0.5000  0.5000  0.7322
Cd  0.0000  0.0000  0.2664
Cd  0.0000  0.0000  0.5000
Cd  0.0000  0.0000  0.7336

Principal peaks in the range 10° ≤ 2θ ≤ 90°, sorted by position:
2θ/deg  I/Imax
17.36  61
24.65  49
30.31  100
33.09  19
35.21  39
39.52  26
43.46  18
50.50  14
50.64  13
60.17  25

---

Entry 6:
For K6Na3Cd, a PBE-relaxed structure gives the simulated powder XRD pattern in this record (Cu Kα).
Kinematic intensities with the Lorentz-polarization factor, no thermal factor.

Structural model:
a = 11.5249 Å, b = 7.8874 Å, c = 16.5270 Å
α = 90.00°, β = 133.73°, γ = 90.00°
Fractional positions:
K  0.0877  0.2457  0.2377
K  0.0877  0.2543  0.7377
K  0.2259  0.1006  0.0615
K  0.2259  0.3994  0.5615
K  0.3864  0.5773  0.0661
K  0.3864  0.9227  0.5661
K  0.6136  0.0773  0.4339
K  0.6136  0.4227  0.9339
K  0.7741  0.6006  0.4385
K  0.7741  0.8994  0.9385
K  0.9123  0.7457  0.2623
K  0.9123  0.7543  0.7623
Na  0.2441  0.7092  0.2347
Na  0.2441  0.7908  0.7347
Na  0.5000  0.0000  0.0000
Na  0.5000  0.5000  0.5000
Na  0.7559  0.2092  0.2653
Na  0.7559  0.2908  0.7653
Cd  0.0000  0.0000  0.5000
Cd  0.0000  0.5000  0.0000

Principal peaks in the range 10° ≤ 2θ ≤ 90°, sorted by position:
2θ/deg  I/Imax
10.66  96
13.45  48
13.60  35
23.72  63
24.32  37
25.03  43
25.80  99
27.10  100
29.79  44
29.96  59

---

Which formula does entry 2 have?
KNa3Cd